# 1
Starting from a structure optimized by DFT (GGA-PBE), the PXRD pattern of ScMnCr was calculated for Cu Ka.
Lines closer than 0.1° are merged.

Main lines, by intensity (10 to 90 degrees two-theta):
d [Å]  2θ (°)  Rel. int.
2.116  42.7  100
2.086  43.4  97
2.267  39.8  63
1.284  73.8  26
1.900  47.9  26
1.997  45.4  23
2.495  36.0  22
1.355  69.4  20
1.392  67.2  20
1.247  76.4  16
4.322  20.6  13
1.813  50.3  12

Crystal structure
abc: 7.987 4.988 4.988
angles: 60.08 90.00 90.00
Atoms (fractional coordinates):
Sc (0.184, 0.000, 0.000)
Sc (0.309, 0.334, 0.334)
Sc (0.691, 0.334, 0.334)
Sc (0.816, 0.000, 0.000)
Mn (0.000, 0.008, 0.497)
Mn (0.000, 0.496, 0.496)
Mn (0.000, 0.497, 0.008)
Mn (0.500, 0.838, 0.838)
Cr (0.246, 0.669, 0.669)
Cr (0.500, 0.327, 0.836)
Cr (0.500, 0.836, 0.327)
Cr (0.754, 0.669, 0.669)

---

# 2
Starting from a structure optimized by DFT (GGA-PBE), the PXRD pattern of Mn2CrSe3 was calculated for Cu Ka.
Lines closer than 0.1° are merged.

Main lines, by intensity (10 to 90 degrees two-theta):
d [Å]  2θ (°)  Rel. int.
2.676  33.5  100
1.903  47.8  88
2.708  33.1  52
1.557  59.4  18
1.546  59.8  17
1.099  89.1  17
1.882  48.4  17
1.208  79.3  15
1.200  80.0  14
1.091  89.9  11
1.338  70.4  10
1.202  79.8  7

Crystal structure
abc: 6.545 6.545 6.545
angles: 146.20 131.13 60.75
Atoms (fractional coordinates):
Mn (0.167, 0.167, 0.000)
Mn (0.833, 0.833, 0.000)
Cr (0.500, 0.500, 0.000)
Se (0.000, 0.500, 0.500)
Se (0.338, 0.838, 0.500)
Se (0.662, 0.162, 0.500)

---

# 3
Starting from a structure optimized by DFT (GGA-PBE), the PXRD pattern of MnZn3Cr8Se16 was calculated for Cu Ka.
Lines closer than 0.1° are merged.

Main lines, by intensity (10 to 90 degrees two-theta):
d [Å]  2θ (°)  Rel. int.
1.879  48.4  100
2.657  33.7  78
3.068  29.1  52
3.205  27.8  36
2.046  44.3  34
1.602  57.5  19
1.188  80.9  18
3.758  23.7  17
1.534  60.3  16
1.329  70.9  14
6.137  14.4  10
1.114  87.6  8

Crystal structure
abc: 13.013 13.013 13.013
angles: 33.58 33.58 33.58
Atoms (fractional coordinates):
Mn (0.000, 0.000, 0.000)
Zn (0.125, 0.125, 0.125)
Zn (0.500, 0.500, 0.500)
Zn (0.625, 0.625, 0.625)
Cr (0.063, 0.063, 0.562)
Cr (0.063, 0.562, 0.063)
Cr (0.063, 0.563, 0.563)
Cr (0.312, 0.312, 0.312)
Cr (0.562, 0.063, 0.063)
Cr (0.563, 0.063, 0.563)
Cr (0.563, 0.563, 0.063)
Cr (0.813, 0.813, 0.813)
Se (0.162, 0.703, 0.703)
Se (0.193, 0.193, 0.193)
Se (0.203, 0.203, 0.662)
Se (0.203, 0.662, 0.203)
Se (0.422, 0.422, 0.963)
Se (0.422, 0.963, 0.422)
Se (0.432, 0.432, 0.432)
Se (0.463, 0.922, 0.922)
Se (0.662, 0.203, 0.203)
Se (0.693, 0.693, 0.693)
Se (0.703, 0.162, 0.703)
Se (0.703, 0.703, 0.162)
Se (0.922, 0.463, 0.922)
Se (0.922, 0.922, 0.463)
Se (0.932, 0.932, 0.932)
Se (0.963, 0.422, 0.422)

---

# 4
Starting from a structure optimized by DFT (GGA-PBE), the PXRD pattern of Mn3CrTe4 was calculated for Cu Ka.
Lines closer than 0.1° are merged.

Main lines, by intensity (10 to 90 degrees two-theta):
d [Å]  2θ (°)  Rel. int.
3.123  28.6  100
2.325  38.7  52
2.108  42.9  46
1.761  51.9  19
1.747  52.4  18
1.345  69.9  15
1.226  77.9  15
1.562  59.2  14
1.255  75.8  13
1.138  85.3  9
1.728  53.0  8
1.351  69.6  8

Crystal structure
abc: 4.216 4.216 12.061
angles: 90.00 90.00 120.00
Atoms (fractional coordinates):
Mn (0.000, 0.000, 0.000)
Mn (0.000, 0.000, 0.245)
Mn (0.000, 0.000, 0.755)
Cr (0.000, 0.000, 0.500)
Te (0.333, 0.667, 0.377)
Te (0.333, 0.667, 0.874)
Te (0.667, 0.333, 0.126)
Te (0.667, 0.333, 0.623)

---

# 5
Starting from a structure optimized by DFT (GGA-PBE), the PXRD pattern of ZrMnCr was calculated for Cu Ka.
Lines closer than 0.1° are merged.

Main lines, by intensity (10 to 90 degrees two-theta):
d [Å]  2θ (°)  Rel. int.
2.297  39.2  100
2.142  42.2  81
2.103  43.0  54
2.134  42.3  39
2.523  35.6  38
2.113  42.8  27
1.300  72.7  21
2.511  35.8  19
1.262  75.3  18
1.367  68.7  17
2.026  44.7  14
1.410  66.3  13

Crystal structure
abc: 8.103 5.046 5.046
angles: 59.68 90.00 90.00
Atoms (fractional coordinates):
Zr (0.186, 0.000, 0.000)
Zr (0.310, 0.333, 0.333)
Zr (0.690, 0.333, 0.333)
Zr (0.814, 0.000, 0.000)
Mn (0.000, 0.007, 0.496)
Mn (0.000, 0.496, 0.007)
Mn (0.000, 0.497, 0.497)
Mn (0.500, 0.834, 0.834)
Cr (0.240, 0.668, 0.668)
Cr (0.500, 0.332, 0.833)
Cr (0.500, 0.833, 0.332)
Cr (0.760, 0.668, 0.668)

---

# 6
Starting from a structure optimized by DFT (GGA-PBE), the PXRD pattern of CrMo2N3 was calculated for Cu Ka.
Lines closer than 0.1° are merged.

Main lines, by intensity (10 to 90 degrees two-theta):
d [Å]  2θ (°)  Rel. int.
2.242  40.2  100
2.641  33.9  90
2.261  39.9  74
1.430  65.3  33
1.846  49.4  32
1.445  64.5  29
1.758  52.0  24
1.890  48.2  23
3.510  25.4  21
1.244  76.6  18
2.834  31.6  17
1.320  71.4  13

Crystal structure
abc: 6.126 6.126 6.126
angles: 153.37 144.93 44.57
Atoms (fractional coordinates):
Cr (0.000, 0.000, 0.000)
Mo (0.353, 0.353, 0.000)
Mo (0.647, 0.647, 0.000)
N (0.173, 0.173, 0.000)
N (0.500, 0.000, 0.500)
N (0.827, 0.827, 0.000)

---

Please write out number 5 again, unchanged.
Starting from a structure optimized by DFT (GGA-PBE), the PXRD pattern of ZrMnCr was calculated for Cu Ka.
Lines closer than 0.1° are merged.

Main lines, by intensity (10 to 90 degrees two-theta):
d [Å]  2θ (°)  Rel. int.
2.297  39.2  100
2.142  42.2  81
2.103  43.0  54
2.134  42.3  39
2.523  35.6  38
2.113  42.8  27
1.300  72.7  21
2.511  35.8  19
1.262  75.3  18
1.367  68.7  17
2.026  44.7  14
1.410  66.3  13

Crystal structure
abc: 8.103 5.046 5.046
angles: 59.68 90.00 90.00
Atoms (fractional coordinates):
Zr (0.186, 0.000, 0.000)
Zr (0.310, 0.333, 0.333)
Zr (0.690, 0.333, 0.333)
Zr (0.814, 0.000, 0.000)
Mn (0.000, 0.007, 0.496)
Mn (0.000, 0.496, 0.007)
Mn (0.000, 0.497, 0.497)
Mn (0.500, 0.834, 0.834)
Cr (0.240, 0.668, 0.668)
Cr (0.500, 0.332, 0.833)
Cr (0.500, 0.833, 0.332)
Cr (0.760, 0.668, 0.668)